# 1
Theoretical powder diffractogram
Compound: Nd5TmPb6
Radiation: Cu Kα
Structure: DFT lattice parameters and positions (GGA-PBE)

Most intense lines, 15 to 90 degrees two-theta, low angle first:
d [Å]	2theta	intensity
2.833	31.59	100
2.562	35.02	19
2.524	35.57	18
2.299	39.18	14
1.798	50.78	13
1.711	53.55	11
1.700	53.95	11
1.526	60.68	16
1.510	61.41	15
1.416	65.96	12
1.410	66.29	12
1.106	88.35	9

Atomic structure:
Lattice parameters (Å, degrees): 5.047 9.197 15.372 90.00 90.00 90.00
Space group Immm (No. 71)
Inequivalent atoms, fractional coordinates:
Nd 0.000 0.000 0.000
Nd 0.000 0.000 0.337
Nd 0.000 0.500 0.333
Tm 0.000 0.500 0.000
Pb 0.000 0.247 0.500
Pb 0.000 0.251 0.165

# 2
Theoretical powder diffractogram
Compound: NdTm2Pb
Radiation: Cu Kα
Structure: DFT lattice parameters and positions (GGA-PBE)

Most intense lines, 15 to 90 degrees two-theta, low angle first:
d [Å]	2theta	intensity
3.067	29.11	80
3.018	29.60	37
2.869	31.17	100
2.771	32.30	37
2.607	34.39	59
2.464	36.46	57
2.314	38.93	17
2.165	41.71	35
1.706	53.72	18
1.666	55.14	46
1.578	58.50	35
1.465	63.49	15

Atomic structure:
Lattice parameters (Å, degrees): 4.331 12.626 9.254 90.00 90.00 90.00
Space group Cmcm (No. 63)
Inequivalent atoms, fractional coordinates:
Nd 0.000 0.056 0.250
Tm 0.000 0.367 0.053
Pb 0.000 0.243 0.750

# 3
Theoretical powder diffractogram
Compound: NdTm5Pb5
Radiation: Cu Kα
Structure: DFT lattice parameters and positions (GGA-PBE)

Most intense lines, 15 to 90 degrees two-theta, low angle first:
d [Å]	2theta	intensity
3.130	28.52	100
3.009	29.69	88
2.958	30.22	80
2.525	35.55	53
2.169	41.64	72
2.150	42.03	66
1.965	46.19	51
1.848	49.30	19
1.591	57.95	24
1.388	67.47	18
1.383	67.74	33
1.356	69.30	15

Atomic structure:
Lattice parameters (Å, degrees): 15.532 6.259 7.394 90.00 102.74 90.00
Space group C2/m (No. 12)
Inequivalent atoms, fractional coordinates:
Nd 0.000 0.000 0.000
Tm 0.000 0.000 0.500
Tm 0.151 0.500 0.344
Tm 0.168 0.500 0.844
Pb 0.000 0.500 0.000
Pb 0.170 0.000 0.346
Pb 0.172 0.000 0.810

# 4
Theoretical powder diffractogram
Compound: Nd2Tm3Pb4
Radiation: Cu Kα
Structure: DFT lattice parameters and positions (GGA-PBE)

Most intense lines, 15 to 90 degrees two-theta, low angle first:
d [Å]	2theta	intensity
3.173	28.13	38
3.115	28.65	27
2.951	30.29	97
2.912	30.70	44
2.864	31.23	51
2.832	31.60	82
2.657	33.73	36
2.621	34.21	46
2.610	34.36	29
2.586	34.69	100
2.467	36.42	19
1.427	65.39	23

Atomic structure:
Lattice parameters (Å, degrees): 8.421 8.377 8.166 90.00 111.60 90.00
Space group P2_1/c (No. 14)
Inequivalent atoms, fractional coordinates:
Nd 0.193 0.179 0.056
Tm 0.245 0.658 0.238
Tm 0.500 0.000 0.500
Pb 0.087 0.543 0.832
Pb 0.494 0.141 0.859